(1)
Starting from a DFT-relaxed cell (GGA-PBE, the Materials Project), the X-ray powder pattern of P was simulated for Cu Ka.
Neutral-atom scattering factors, no anomalous dispersion.

Cell and atoms:
Unit cell a=3.571 b=3.571 c=3.571 alpha=122.66 beta=90.20 gamma=117.19
Element x y z (fractional)
1 P 0.301 0.051 0.250
2 P 0.699 0.949 0.750

Top 10 peaks for 5 to 70 degrees two-theta, in order of falling intensity:
Position (°2θ)	d/Å	intensity
35.61	2.521	100.0
51.25	1.783	41.4
29.84	2.994	11.9
65.91	1.417	10.6
59.41	1.556	10.2
53.47	1.714	10.0
48.94	1.861	8.6
61.98	1.497	8.2
62.44	1.487	2.4
60.44	1.532	1.3

***

(2)
Starting from a DFT-relaxed cell (GGA-PBE, the Materials Project), the X-ray powder pattern of Dy3Al was simulated for Cu Ka.
Neutral-atom scattering factors, no anomalous dispersion.

Cell and atoms:
Unit cell a=6.832 b=6.832 c=5.292 alpha=90.00 beta=90.00 gamma=120.00
Element x y z (fractional)
1 Dy 0.175 0.350 0.250
2 Dy 0.175 0.825 0.250
3 Dy 0.350 0.175 0.750
4 Dy 0.650 0.825 0.250
5 Dy 0.825 0.175 0.750
6 Dy 0.825 0.650 0.750
7 Al 0.333 0.667 0.750
8 Al 0.667 0.333 0.250

Top 10 peaks for 5 to 70 degrees two-theta, in order of falling intensity:
Position (°2θ)	d/Å	intensity
34.74	2.582	100.0
22.54	3.944	27.5
33.88	2.646	24.3
30.21	2.958	24.2
53.66	1.708	23.3
64.99	1.435	20.8
61.17	1.515	19.6
46.02	1.972	17.5
65.53	1.425	15.0
26.09	3.416	9.1